# Li2HfSO8
Computed X-ray diffraction stick pattern, Cu Kα (weighted mean of Kα1 and Kα2). Input: the GGA-PBE geometry in Alexandria.
Intensities are scaled so that the largest is 100.

Structure:
Unit cell a=5.1746 b=5.1746 c=5.4425 alpha=90.00 beta=90.00 gamma=120.00
Sites, in units of the cell vectors:
Li: 0.3333 0.6667 0.4932
Li: 0.6667 0.3333 0.5068
Hf: 0.0000 0.0000 0.0000
S: 0.0000 0.0000 0.5000
O: 0.1481 0.2962 0.6835
O: 0.1481 0.8519 0.6835
O: 0.2962 0.1481 0.3165
O: 0.3333 0.6667 0.0651
O: 0.6667 0.3333 0.9349
O: 0.7038 0.8519 0.6835
O: 0.8519 0.1481 0.3165
O: 0.8519 0.7038 0.3165

Largest 10 diffraction maxima, in order of rising 2θ, 10 to 90 degrees two-theta:
- 16.29°, I = 14.1, (0 0 1)
- 19.81°, I = 100.0, (1 0 0)
- 25.75°, I = 29.4, (1 0 1)
- 34.67°, I = 25.1, (1 1 0)
- 38.53°, I = 23.1, (1 1 1)
- 38.71°, I = 23.1, (0 1 2)
- 43.69°, I = 15.9, (2 0 1)
- 48.55°, I = 25.5, (1 1 2)
- 52.93°, I = 14.9, (0 2 2)
- 64.84°, I = 13.5, (1 2 2)